No. 1
Starting from DFT lattice parameters and positions (PBE), the powder XRD pattern of TbNd2DyEr5 was calculated for λ = 1.5418 Å (Cu Kα).
Intensities are scaled so that the largest is 100.

Structural model:
Cell lengths 9.882, 9.882, 9.882 Å; angles 128.42, 128.42, 75.95 degrees
Atoms (fractional coordinates):
Tb (0.250, 0.250, 0.000)
Tb (0.750, 0.750, 0.000)
Nd (0.118, 0.618, 0.735)
Nd (0.382, 0.118, 0.500)
Nd (0.618, 0.882, 0.500)
Nd (0.882, 0.382, 0.265)
Dy (0.250, 0.750, 0.500)
Dy (0.750, 0.250, 0.500)
Er (0.000, 0.000, 0.000)
Er (0.072, 0.148, 0.500)
Er (0.148, 0.648, 0.076)
Er (0.352, 0.428, 0.500)
Er (0.428, 0.928, 0.076)
Er (0.500, 0.500, 0.000)
Er (0.572, 0.072, 0.924)
Er (0.648, 0.572, 0.500)
Er (0.852, 0.352, 0.924)
Er (0.928, 0.852, 0.500)

The 12 most intense peaks (5° ≤ 2θ ≤ 70°), by intensity:
| d_spacing | I_rel |
| --- | --- |
| 2.887 | 100.0 |
| 3.040 | 52.2 |
| 3.091 | 43.9 |
| 1.724 | 23.8 |
| 1.521 | 14.5 |
| 2.357 | 14.4 |
| 1.640 | 12.7 |
| 2.719 | 11.8 |
| 1.948 | 11.4 |
| 1.935 | 10.2 |
| 2.567 | 10.0 |
| 1.547 | 10.0 |

***

No. 2
Starting from DFT lattice parameters and positions (PBE), the powder XRD pattern of Nd2DyErTh was calculated for λ = 1.5418 Å (Cu Kα).
Intensities are scaled so that the largest is 100.

Structural model:
Cell lengths 8.510, 6.370, 6.394 Å; angles 90.00, 90.65, 90.00 degrees
Atoms (fractional coordinates):
Nd (0.190, 0.211, 0.254)
Nd (0.190, 0.789, 0.754)
Nd (0.810, 0.211, 0.246)
Nd (0.810, 0.789, 0.746)
Dy (0.500, 0.500, 0.000)
Dy (0.500, 0.500, 0.500)
Er (0.000, 0.310, 0.750)
Er (0.000, 0.690, 0.250)
Th (0.500, 0.054, 0.750)
Th (0.500, 0.946, 0.250)

The 12 most intense peaks (5° ≤ 2θ ≤ 70°), by intensity:
| d_spacing | I_rel |
| --- | --- |
| 2.983 | 100.0 |
| 3.083 | 65.8 |
| 3.108 | 64.5 |
| 2.703 | 63.1 |
| 3.197 | 50.3 |
| 2.857 | 43.7 |
| 4.255 | 42.9 |
| 2.717 | 39.7 |
| 2.550 | 32.8 |
| 2.837 | 31.6 |
| 2.003 | 26.9 |
| 2.023 | 26.3 |

***

No. 3
Starting from DFT lattice parameters and positions (PBE), the powder XRD pattern of NdDy5ErTh2 was calculated for λ = 1.5418 Å (Cu Kα).
Intensities are scaled so that the largest is 100.

Structural model:
Cell lengths 9.868, 9.868, 9.868 Å; angles 126.58, 126.58, 78.94 degrees
Atoms (fractional coordinates):
Nd (0.250, 0.250, 0.000)
Nd (0.750, 0.750, 0.000)
Dy (0.000, 0.000, 0.000)
Dy (0.071, 0.571, 0.916)
Dy (0.154, 0.071, 0.500)
Dy (0.346, 0.846, 0.916)
Dy (0.429, 0.346, 0.500)
Dy (0.500, 0.500, 0.000)
Dy (0.571, 0.654, 0.500)
Dy (0.654, 0.154, 0.084)
Dy (0.846, 0.929, 0.500)
Dy (0.929, 0.429, 0.084)
Er (0.250, 0.750, 0.500)
Er (0.750, 0.250, 0.500)
Th (0.119, 0.381, 0.500)
Th (0.381, 0.881, 0.263)
Th (0.619, 0.119, 0.737)
Th (0.881, 0.619, 0.500)

The 12 most intense peaks (5° ≤ 2θ ≤ 70°), by intensity:
| d_spacing | I_rel |
| --- | --- |
| 3.131 | 100.0 |
| 2.890 | 79.0 |
| 2.130 | 22.9 |
| 2.429 | 22.7 |
| 1.629 | 19.1 |
| 1.760 | 18.3 |
| 2.417 | 16.0 |
| 2.632 | 15.3 |
| 1.451 | 15.1 |
| 2.805 | 14.4 |
| 1.904 | 11.6 |
| 1.981 | 9.1 |

***

No. 4
Starting from DFT lattice parameters and positions (PBE), the powder XRD pattern of NdDyEr2Th was calculated for λ = 1.5418 Å (Cu Kα).
Intensities are scaled so that the largest is 100.

Structural model:
Cell lengths 3.534, 5.619, 8.673 Å; angles 90.00, 90.00, 90.00 degrees
Atoms (fractional coordinates):
Nd (0.000, 0.000, 0.000)
Dy (0.500, 0.000, 0.500)
Er (0.000, 0.500, 0.322)
Er (0.000, 0.500, 0.678)
Th (0.500, 0.500, 0.000)

The 12 most intense peaks (5° ≤ 2θ ≤ 70°), by intensity:
| d_spacing | I_rel |
| --- | --- |
| 2.828 | 100.0 |
| 2.809 | 40.2 |
| 2.571 | 27.0 |
| 2.462 | 26.0 |
| 1.501 | 20.5 |
| 2.739 | 20.1 |
| 1.625 | 19.5 |
| 5.619 | 17.8 |
| 4.336 | 16.8 |
| 2.891 | 16.5 |
| 1.961 | 15.6 |
| 3.433 | 15.4 |

***

No. 5
Starting from DFT lattice parameters and positions (PBE), the powder XRD pattern of Nd6DyEr2Tm3 was calculated for λ = 1.5418 Å (Cu Kα).
Intensities are scaled so that the largest is 100.

Structural model:
Cell lengths 6.242, 6.242, 11.762 Å; angles 95.06, 95.06, 119.99 degrees
Atoms (fractional coordinates):
Nd (0.083, 0.416, 0.249)
Nd (0.250, 0.250, 0.751)
Nd (0.416, 0.083, 0.249)
Nd (0.584, 0.917, 0.751)
Nd (0.750, 0.750, 0.249)
Nd (0.917, 0.584, 0.751)
Dy (0.500, 0.500, 0.500)
Er (0.167, 0.833, 0.500)
Er (0.833, 0.167, 0.500)
Tm (0.000, 0.000, 0.000)
Tm (0.333, 0.667, 0.000)
Tm (0.667, 0.333, 0.000)

The 12 most intense peaks (5° ≤ 2θ ≤ 70°), by intensity:
| d_spacing | I_rel |
| --- | --- |
| 2.937 | 100.0 |
| 2.534 | 66.9 |
| 2.894 | 32.0 |
| 1.530 | 28.5 |
| 1.802 | 24.3 |
| 1.782 | 23.4 |
| 1.536 | 14.4 |
| 1.518 | 13.9 |
| 1.469 | 12.4 |
| 1.447 | 3.9 |
| 5.789 | 0.7 |
| 3.072 | 0.5 |

***

No. 6
Starting from DFT lattice parameters and positions (PBE), the powder XRD pattern of NdDy2ErTm5 was calculated for λ = 1.5418 Å (Cu Kα).
Intensities are scaled so that the largest is 100.

Structural model:
Cell lengths 9.584, 9.584, 9.584 Å; angles 124.79, 124.79, 81.88 degrees
Atoms (fractional coordinates):
Nd (0.250, 0.250, 0.000)
Nd (0.750, 0.750, 0.000)
Dy (0.112, 0.612, 0.725)
Dy (0.388, 0.112, 0.500)
Dy (0.612, 0.888, 0.500)
Dy (0.888, 0.388, 0.275)
Er (0.250, 0.750, 0.500)
Er (0.750, 0.250, 0.500)
Tm (0.000, 0.000, 0.000)
Tm (0.074, 0.163, 0.500)
Tm (0.163, 0.663, 0.089)
Tm (0.337, 0.426, 0.500)
Tm (0.426, 0.926, 0.089)
Tm (0.500, 0.500, 0.000)
Tm (0.574, 0.074, 0.911)
Tm (0.663, 0.574, 0.500)
Tm (0.837, 0.337, 0.911)
Tm (0.926, 0.837, 0.500)

The 12 most intense peaks (5° ≤ 2θ ≤ 70°), by intensity:
| d_spacing | I_rel |
| --- | --- |
| 2.806 | 100.0 |
| 3.140 | 46.5 |
| 3.067 | 42.6 |
| 1.569 | 24.6 |
| 2.428 | 18.4 |
| 1.741 | 17.3 |
| 1.810 | 14.3 |
| 2.131 | 14.2 |
| 2.340 | 13.6 |
| 2.618 | 11.3 |
| 2.122 | 9.3 |
| 1.967 | 8.4 |

***

No. 7
Starting from DFT lattice parameters and positions (PBE), the powder XRD pattern of Nd2Dy2Y4Er was calculated for λ = 1.5418 Å (Cu Kα).
Intensities are scaled so that the largest is 100.

Structural model:
Cell lengths 9.549, 9.549, 9.600 Å; angles 115.22, 115.22, 21.83 degrees
Atoms (fractional coordinates):
Nd (0.165, 0.165, 0.497)
Nd (0.835, 0.835, 0.503)
Dy (0.352, 0.352, 0.836)
Dy (0.648, 0.648, 0.164)
Y (0.019, 0.019, 0.835)
Y (0.314, 0.314, 0.165)
Y (0.686, 0.686, 0.835)
Y (0.981, 0.981, 0.165)
Er (0.500, 0.500, 0.500)

The 12 most intense peaks (5° ≤ 2θ ≤ 70°), by intensity:
| d_spacing | I_rel |
| --- | --- |
| 2.818 | 100.0 |
| 2.679 | 90.3 |
| 2.883 | 48.8 |
| 3.106 | 45.7 |
| 1.531 | 42.9 |
| 1.806 | 37.1 |
| 1.683 | 20.6 |
| 1.595 | 19.3 |
| 2.252 | 17.0 |
| 1.521 | 15.3 |
| 1.498 | 15.1 |
| 1.997 | 14.4 |

***

No. 8
Starting from DFT lattice parameters and positions (PBE), the powder XRD pattern of Nd2Dy6YEr was calculated for λ = 1.5418 Å (Cu Kα).
Intensities are scaled so that the largest is 100.

Structural model:
Cell lengths 8.801, 8.801, 9.677 Å; angles 94.41, 94.41, 118.38 degrees
Atoms (fractional coordinates):
Nd (0.194, 0.301, 0.042)
Nd (0.301, 0.194, 0.542)
Nd (0.699, 0.806, 0.458)
Nd (0.806, 0.699, 0.958)
Dy (0.021, 0.575, 0.188)
Dy (0.127, 0.746, 0.557)
Dy (0.254, 0.873, 0.943)
Dy (0.291, 0.501, 0.381)
Dy (0.425, 0.979, 0.312)
Dy (0.499, 0.709, 0.119)
Dy (0.501, 0.291, 0.881)
Dy (0.575, 0.021, 0.688)
Dy (0.709, 0.499, 0.619)
Dy (0.746, 0.127, 0.057)
Dy (0.873, 0.254, 0.443)
Dy (0.979, 0.425, 0.812)
Y (0.018, 0.982, 0.250)
Y (0.982, 0.018, 0.750)
Er (0.408, 0.592, 0.750)
Er (0.592, 0.408, 0.250)

The 12 most intense peaks (5° ≤ 2θ ≤ 70°), by intensity:
| d_spacing | I_rel |
| --- | --- |
| 2.911 | 100.0 |
| 2.821 | 93.6 |
| 2.675 | 91.0 |
| 2.863 | 73.8 |
| 2.938 | 67.2 |
| 2.837 | 53.6 |
| 3.120 | 48.1 |
| 2.370 | 25.6 |
| 1.803 | 22.8 |
| 1.520 | 22.5 |
| 2.780 | 22.3 |
| 2.626 | 22.1 |

***

No. 9
Starting from DFT lattice parameters and positions (PBE), the powder XRD pattern of NdDyY5Er2 was calculated for λ = 1.5418 Å (Cu Kα).
Intensities are scaled so that the largest is 100.

Structural model:
Cell lengths 10.374, 10.374, 10.536 Å; angles 90.00, 90.00, 148.55 degrees
Atoms (fractional coordinates):
Nd (0.085, 0.915, 0.500)
Nd (0.915, 0.085, 0.000)
Dy (0.303, 0.697, 0.065)
Dy (0.697, 0.303, 0.565)
Y (0.022, 0.978, 0.788)
Y (0.116, 0.884, 0.075)
Y (0.202, 0.798, 0.759)
Y (0.221, 0.779, 0.370)
Y (0.483, 0.517, 0.074)
Y (0.517, 0.483, 0.574)
Y (0.779, 0.221, 0.870)
Y (0.798, 0.202, 0.259)
Y (0.884, 0.116, 0.575)
Y (0.978, 0.022, 0.288)
Er (0.387, 0.613, 0.370)
Er (0.389, 0.611, 0.787)
Er (0.611, 0.389, 0.287)
Er (0.613, 0.387, 0.870)

The 12 most intense peaks (5° ≤ 2θ ≤ 70°), by intensity:
| d_spacing | I_rel |
| --- | --- |
| 2.770 | 100.0 |
| 2.811 | 44.9 |
| 2.946 | 42.3 |
| 1.615 | 19.5 |
| 3.174 | 18.1 |
| 1.504 | 13.8 |
| 1.550 | 13.7 |
| 1.780 | 12.3 |
| 2.105 | 11.3 |
| 2.634 | 10.5 |
| 1.922 | 9.8 |
| 2.719 | 8.4 |

***

No. 10
Starting from DFT lattice parameters and positions (PBE), the powder XRD pattern of Nd2Dy3Y6Er was calculated for λ = 1.5418 Å (Cu Kα).
Intensities are scaled so that the largest is 100.

Structural model:
Cell lengths 6.193, 6.193, 11.844 Å; angles 94.98, 94.98, 119.96 degrees
Atoms (fractional coordinates):
Nd (0.166, 0.834, 0.000)
Nd (0.834, 0.166, 0.000)
Dy (0.000, 0.000, 0.500)
Dy (0.334, 0.666, 0.500)
Dy (0.666, 0.334, 0.500)
Y (0.083, 0.416, 0.748)
Y (0.252, 0.252, 0.252)
Y (0.416, 0.083, 0.748)
Y (0.584, 0.917, 0.252)
Y (0.748, 0.748, 0.748)
Y (0.917, 0.584, 0.252)
Er (0.500, 0.500, 0.000)

The 12 most intense peaks (5° ≤ 2θ ≤ 70°), by intensity:
| d_spacing | I_rel |
| --- | --- |
| 2.919 | 100.0 |
| 2.528 | 50.4 |
| 1.787 | 35.4 |
| 1.525 | 34.9 |
| 1.459 | 12.0 |
| 5.832 | 8.6 |
| 1.523 | 6.9 |
| 3.050 | 5.7 |
| 2.319 | 2.8 |
| 1.710 | 2.3 |
| 1.945 | 2.3 |
| 1.543 | 0.8 |

***

No. 11
Starting from DFT lattice parameters and positions (PBE), the powder XRD pattern of Nd2Dy2YEr2 was calculated for λ = 1.5418 Å (Cu Kα).
Intensities are scaled so that the largest is 100.

Structural model:
Cell lengths 5.593, 5.593, 9.138 Å; angles 113.06, 113.06, 64.11 degrees
Atoms (fractional coordinates):
Nd (0.140, 0.140, 0.420)
Nd (0.860, 0.860, 0.580)
Dy (0.287, 0.287, 0.858)
Dy (0.713, 0.713, 0.142)
Y (0.000, 0.000, 0.000)
Er (0.430, 0.430, 0.283)
Er (0.570, 0.570, 0.717)

The 12 most intense peaks (5° ≤ 2θ ≤ 70°), by intensity:
| d_spacing | I_rel |
| --- | --- |
| 2.769 | 100.0 |
| 2.985 | 30.5 |
| 2.968 | 30.2 |
| 2.105 | 22.8 |
| 1.673 | 22.4 |
| 1.679 | 22.3 |
| 1.563 | 13.3 |
| 1.385 | 11.8 |
| 1.839 | 7.5 |
| 1.567 | 4.5 |
| 1.492 | 3.8 |
| 1.484 | 3.8 |

***

No. 12
Starting from DFT lattice parameters and positions (PBE), the powder XRD pattern of Dy3ErNi8 was calculated for λ = 1.5418 Å (Cu Kα).
Intensities are scaled so that the largest is 100.

Structural model:
Cell lengths 8.774, 8.774, 8.774 Å; angles 33.47, 33.47, 33.47 degrees
Atoms (fractional coordinates):
Dy (0.000, 0.000, 0.000)
Dy (0.125, 0.125, 0.125)
Dy (0.625, 0.625, 0.625)
Er (0.500, 0.500, 0.500)
Ni (0.062, 0.062, 0.562)
Ni (0.062, 0.562, 0.062)
Ni (0.063, 0.562, 0.562)
Ni (0.312, 0.312, 0.312)
Ni (0.562, 0.062, 0.062)
Ni (0.562, 0.063, 0.562)
Ni (0.562, 0.562, 0.063)
Ni (0.812, 0.812, 0.812)

The 12 most intense peaks (5° ≤ 2θ ≤ 70°), by intensity:
| d_spacing | I_rel |
| --- | --- |
| 2.157 | 100.0 |
| 2.529 | 64.3 |
| 1.376 | 22.8 |
| 1.459 | 17.7 |
| 4.130 | 13.2 |
| 2.064 | 11.4 |
| 1.378 | 7.6 |
| 1.462 | 5.9 |
| 2.069 | 3.8 |
| 1.640 | 1.8 |
| 1.642 | 1.8 |
| 1.788 | 0.5 |

***

No. 13
Starting from DFT lattice parameters and positions (PBE), the powder XRD pattern of Dy2Er6Ni was calculated for λ = 1.5418 Å (Cu Kα).
Intensities are scaled so that the largest is 100.

Structural model:
Cell lengths 9.049, 3.540, 9.568 Å; angles 90.00, 118.15, 90.00 degrees
Atoms (fractional coordinates):
Dy (0.172, 0.000, 0.344)
Dy (0.828, 0.000, 0.656)
Er (0.166, 0.500, 0.671)
Er (0.270, 0.000, 0.000)
Er (0.495, 0.500, 0.329)
Er (0.505, 0.500, 0.671)
Er (0.730, 0.000, 0.000)
Er (0.834, 0.500, 0.329)
Ni (0.500, 0.500, 0.000)

The 12 most intense peaks (5° ≤ 2θ ≤ 70°), by intensity:
| d_spacing | I_rel |
| --- | --- |
| 2.812 | 100.0 |
| 2.647 | 96.7 |
| 2.844 | 83.4 |
| 2.658 | 77.4 |
| 2.326 | 63.9 |
| 2.969 | 36.9 |
| 3.235 | 35.4 |
| 1.498 | 29.8 |
| 2.126 | 27.3 |
| 1.682 | 26.5 |
| 1.770 | 26.1 |
| 1.578 | 26.1 |